This entry pairs a crystal structure of CuPH5O5 with its theoretical powder diffraction line list. Radiation: λ = 1.5418 Å (Cu Kα). Structure: a structure optimized by DFT (GGA-PBE).
Neutral-atom scattering factors, no anomalous dispersion.

```
CuPH5O5
1.0
6.7142 0.0000 0.0000
0.0000 7.4244 0.0000
0.0000 0.0000 9.0786
Cu P H O
4 4 20 20
direct
0.2343 0.0291 0.4046
0.2657 0.9709 0.9046
0.7343 0.4709 0.5954
0.7657 0.5291 0.0954
0.0134 0.3217 0.8512
0.4866 0.6783 0.3512
0.5134 0.1783 0.1488
0.9866 0.8217 0.6488
0.0197 0.4376 0.3403
0.0630 0.6411 0.3246
0.1263 0.3118 0.5583
0.1367 0.6969 0.6166
0.1797 0.6335 0.9630
0.3203 0.3665 0.4630
0.3633 0.3031 0.1166
0.3737 0.6882 0.0583
0.4370 0.3589 0.8246
0.4803 0.5624 0.8403
0.5197 0.0624 0.6597
0.5630 0.8589 0.6754
0.6263 0.1882 0.4417
0.6367 0.8031 0.3834
0.6797 0.8665 0.0370
0.8203 0.1335 0.5370
0.8633 0.1969 0.8834
0.8737 0.8118 0.9417
0.9370 0.1411 0.1754
0.9803 0.9376 0.1597
0.0014 0.9759 0.5344
0.0153 0.8901 0.8093
0.0454 0.0514 0.1870
0.1981 0.2879 0.4626
0.2187 0.2275 0.8598
0.2813 0.7725 0.3598
0.3019 0.7121 0.9626
0.4546 0.9486 0.6870
0.4847 0.1099 0.3093
0.4986 0.0241 0.0344
0.5014 0.5241 0.4656
0.5153 0.6099 0.1907
0.5454 0.4486 0.8130
0.6981 0.2121 0.5374
0.7187 0.2725 0.1402
0.7813 0.7275 0.6402
0.8019 0.7879 0.0374
0.9546 0.5514 0.3130
0.9847 0.3901 0.6907
0.9986 0.4759 0.9656
```

Top 10 peaks for 2θ = 5–70°, low angle first:
| h k l | 2θ/deg | I/Imax |
| --- | --- | --- |
| 1 0 1 | 16.4 | 20 |
| 1 1 0 | 17.8 | 100 |
| 0 1 2 | 23.0 | 17 |
| 1 0 2 | 23.7 | 86 |
| 0 2 1 | 25.9 | 27 |
| 1 2 1 | 29.2 | 14 |
| 2 1 2 | 35.4 | 55 |
| 0 3 2 | 41.6 | 17 |
| 1 1 4 | 43.8 | 17 |
| 4 0 0 | 54.7 | 19 |